Lu2Co2O7: calculated powder diffractogram (Cu Kα (λ = 1.5418 Å)), based on a structure optimized by DFT (PBE+U).
Lines closer than 0.1° are merged.

Top 6 peaks for 2θ from 15° to 90°, sorted by position:
- (1 1 1), 2θ 15.8, d = 5.622 Å, rel. 24
- (2 2 2), 2θ 31.8, d = 2.811 Å, rel. 100
- (4 0 0), 2θ 36.9, d = 2.434 Å, rel. 32
- (4 4 0), 2θ 53.2, d = 1.721 Å, rel. 45
- (6 2 2), 2θ 63.4, d = 1.468 Å, rel. 41
- (6 6 2), 2θ 87.3, d = 1.117 Å, rel. 17

abc: 9.7375 9.7375 9.7375
angles: 90.00 90.00 90.00
Space group Fd-3m (No. 227, origin choice 2)
Unique sites:
Lu  0.0000  0.0000  0.0000 [16 per cell]
Co  0.0000  0.0000  0.5000 [16 per cell]
O  0.0804  0.3750  0.8750 [48 per cell]
O  0.1250  0.1250  0.1250 [8 per cell]